The following is a calculated powder XRD pattern of Ca2CoCN2O2. It was derived from a structure optimized by DFT (PBE+U), using a wavelength of 1.5418 Å.
Peak positions follow from Bragg's law for the DFT cell and can differ from measured ones.

Cell and atoms:
abc: 3.826 3.826 7.852
angles: 90.00 90.00 90.00
Space group P4/mmm (No. 123)
Asymmetric unit:
Ca 0.000 0.000 0.200 x2
Co 0.500 0.500 0.000 x1
C 0.500 0.500 0.500 x1
N 0.500 0.500 0.341 x2
O 0.000 0.500 0.000 x2

Main lines, by intensity (10 to 80 degrees two-theta):
2theta  I_rel  hkl
11.27  100  0 0 1
32.68  57  1 0 2
33.12  37  1 1 0
41.82  35  1 0 3
47.54  24  2 0 0
58.87  22  0 0 5
65.14  16  2 1 3
49.02  9  2 0 1
78.89  9  2 0 5
69.50  6  2 2 0